Entry 1:
Simulated powder X-ray diffraction pattern
Compound: NaAc2Tl6
Radiation: CuKα
Structure: a DFT-relaxed cell (PBE, Alexandria)

Principal peaks in the range 2θ = 10–90°, sorted by position:
2θ = 27.30°, I 16; 2θ = 28.92°, I 14; 2θ = 29.44°, I 25; 2θ = 31.09°, I 30; 2θ = 32.54°, I 100; 2θ = 40.58°, I 16; 2θ = 49.27°, I 12; 2θ = 52.22°, I 21; 2θ = 58.47°, I 17; 2θ = 62.89°, I 14

Structure:
a b c (Å): 7.008 7.008 6.533
angles (deg): 90.00 90.00 59.97
Element x y z (fractional)
Na 0.000 0.000 0.000
Ac 0.333 0.333 0.169
Ac 0.667 0.667 0.831
Tl 0.179 0.641 0.680
Tl 0.180 0.180 0.682
Tl 0.359 0.821 0.320
Tl 0.641 0.179 0.680
Tl 0.820 0.820 0.318
Tl 0.821 0.359 0.320

***

Entry 2:
Simulated powder X-ray diffraction pattern
Compound: Li2In2Sb
Radiation: CuKα
Structure: a DFT-relaxed cell (PBE, Alexandria)

Principal peaks in the range 2θ = 10–90°, sorted by position:
2θ = 26.47°, I 94; 2θ = 28.19°, I 71; 2θ = 32.04°, I 94; 2θ = 34.52°, I 100; 2θ = 39.61°, I 33; 2θ = 40.29°, I 58; 2θ = 49.32°, I 30; 2θ = 55.74°, I 21; 2θ = 57.78°, I 39; 2θ = 58.97°, I 36

Structure:
a b c (Å): 7.078 7.078 4.551
angles (deg): 90.00 90.00 90.00
Element x y z (fractional)
Li 0.144 0.356 0.000
Li 0.356 0.856 0.000
Li 0.644 0.144 0.000
Li 0.856 0.644 0.000
In 0.164 0.664 0.500
In 0.336 0.164 0.500
In 0.664 0.836 0.500
In 0.836 0.336 0.500
Sb 0.000 0.000 0.000
Sb 0.500 0.500 0.000

***

Entry 3:
Simulated powder X-ray diffraction pattern
Compound: AcCd4Pd4
Radiation: CuKα
Structure: a DFT-relaxed cell (PBE, Alexandria)

Principal peaks in the range 2θ = 10–90°, sorted by position:
2θ = 20.14°, I 51; 2θ = 27.52°, I 32; 2θ = 28.08°, I 48; 2θ = 30.84°, I 97; 2θ = 35.70°, I 66; 2θ = 39.72°, I 100; 2θ = 44.55°, I 88; 2θ = 47.88°, I 56; 2θ = 70.32°, I 22; 2θ = 71.54°, I 23

Structure:
a b c (Å): 9.168 9.168 5.030
angles (deg): 90.00 90.00 90.00
Element x y z (fractional)
Ac 0.250 0.250 0.250
Ac 0.750 0.750 0.750
Cd 0.115 0.668 0.249
Cd 0.168 0.885 0.749
Cd 0.332 0.615 0.749
Cd 0.385 0.832 0.249
Cd 0.615 0.168 0.751
Cd 0.668 0.385 0.251
Cd 0.832 0.115 0.251
Cd 0.885 0.332 0.751
Pd 0.031 0.583 0.749
Pd 0.083 0.969 0.249
Pd 0.417 0.531 0.249
Pd 0.469 0.917 0.749
Pd 0.531 0.083 0.251
Pd 0.583 0.469 0.751
Pd 0.917 0.031 0.751
Pd 0.969 0.417 0.251

***

Entry 4:
Simulated powder X-ray diffraction pattern
Compound: Tm4Se5O
Radiation: CuKα
Structure: a DFT-relaxed cell (PBE, Alexandria)

Principal peaks in the range 2θ = 10–90°, sorted by position:
2θ = 20.12°, I 51; 2θ = 24.36°, I 36; 2θ = 26.29°, I 37; 2θ = 28.66°, I 76; 2θ = 30.38°, I 32; 2θ = 34.64°, I 100; 2θ = 39.24°, I 37; 2θ = 43.01°, I 79; 2θ = 43.29°, I 43; 2θ = 48.77°, I 27

Structure:
a b c (Å): 9.740 9.740 9.740
angles (deg): 157.89 135.71 50.03
Element x y z (fractional)
Tm 0.218 0.500 0.718
Tm 0.219 0.219 0.000
Tm 0.781 0.781 0.000
Tm 0.782 0.500 0.282
Se 0.087 0.341 0.746
Se 0.405 0.659 0.746
Se 0.500 0.000 0.500
Se 0.595 0.341 0.254
Se 0.913 0.659 0.254
O 0.000 0.000 0.000

***

Copy entry 4 word for word.
Simulated powder X-ray diffraction pattern
Compound: Tm4Se5O
Radiation: CuKα
Structure: a DFT-relaxed cell (PBE, Alexandria)

Principal peaks in the range 2θ = 10–90°, sorted by position:
2θ = 20.12°, I 51; 2θ = 24.36°, I 36; 2θ = 26.29°, I 37; 2θ = 28.66°, I 76; 2θ = 30.38°, I 32; 2θ = 34.64°, I 100; 2θ = 39.24°, I 37; 2θ = 43.01°, I 79; 2θ = 43.29°, I 43; 2θ = 48.77°, I 27

Structure:
a b c (Å): 9.740 9.740 9.740
angles (deg): 157.89 135.71 50.03
Element x y z (fractional)
Tm 0.218 0.500 0.718
Tm 0.219 0.219 0.000
Tm 0.781 0.781 0.000
Tm 0.782 0.500 0.282
Se 0.087 0.341 0.746
Se 0.405 0.659 0.746
Se 0.500 0.000 0.500
Se 0.595 0.341 0.254
Se 0.913 0.659 0.254
O 0.000 0.000 0.000